[1]
This entry pairs a crystal structure of Al6Fe with its calculated XRD peak list. Radiation: Cu Kα, 1.54184 Å. Structure: a DFT-relaxed cell (PBE, Alexandria).
No peak broadening, texture or thermal motion is included.

Top 10 peaks for 2θ from 10° to 90°, sorted by position:
2θ/deg, intensity, hkl
18.23, 53, 1 1 0
27.29, 32, 1 1 2
40.45, 59, 3 1 1
40.93, 27, 0 0 4
41.53, 37, 0 2 3
42.42, 93, 2 2 2
43.78, 51, 1 3 0
44.34, 100, 3 1 2
45.04, 25, 1 3 1
45.14, 55, 1 1 4

Crystal structure
```
data_Al6Fe
_symmetry_space_group_name_H-M 'C m c m'
_symmetry_Int_Tables_number 63
_symmetry_space_group_name_Hall '-C 2c 2'
_cell_length_a 7.4019
_cell_length_b 6.4598
_cell_length_c 8.8203
_cell_angle_alpha 90.00
_cell_angle_beta 90.00
_cell_angle_gamma 90.00
loop_
_atom_site_label
_atom_site_type_symbol
_atom_site_fract_x
_atom_site_fract_y
_atom_site_fract_z
Al1 Al 0.0000 0.1457 0.0995
Al2 Al 0.1774 0.5000 0.0000
Al3 Al 0.1816 0.2097 0.7500
Fe1 Fe 0.0000 0.4607 0.2500
```

[2]
This entry pairs a crystal structure of TbErTmPu with its calculated XRD peak list. Radiation: Cu Kα, 1.54184 Å. Structure: a DFT-relaxed cell (PBE, Alexandria).
No peak broadening, texture or thermal motion is included.

Top 10 peaks for 2θ from 10° to 90°, sorted by position:
2θ/deg, intensity, hkl
19.60, 2, 1 1 1
22.67, 1, 2 0 0
32.28, 100, 2 2 0
38.04, 1, 3 1 1
46.29, 19, 4 0 0
50.73, 1, 3 3 1
57.56, 39, 4 2 2
67.55, 12, 4 4 0
76.86, 17, 6 2 0
85.82, 4, 4 4 4

Crystal structure
```
data_TbErTmPu
_symmetry_space_group_name_H-M 'F -4 3 m'
_symmetry_Int_Tables_number 216
_symmetry_space_group_name_Hall 'F -4 2 3'
_cell_length_a 7.8446
_cell_length_b 7.8446
_cell_length_c 7.8446
_cell_angle_alpha 90.00
_cell_angle_beta 90.00
_cell_angle_gamma 90.00
loop_
_atom_site_label
_atom_site_type_symbol
_atom_site_fract_x
_atom_site_fract_y
_atom_site_fract_z
Tb1 Tb 0.0000 0.0000 0.0000
Er1 Er 0.2500 0.2500 0.2500
Tm1 Tm 0.2500 0.2500 0.7500
Pu1 Pu 0.0000 0.0000 0.5000
```

[3]
This entry pairs a crystal structure of Na2B3C with its calculated XRD peak list. Radiation: Cu Kα, 1.54184 Å. Structure: a DFT-relaxed cell (PBE, Alexandria).
No peak broadening, texture or thermal motion is included.

Top 10 peaks for 2θ from 10° to 90°, sorted by position:
2θ/deg, intensity, hkl
35.29, 9, 0 2 0
35.51, 20, 5 1 -1
41.23, 53, 0 2 2
41.42, 100, 5 1 1
41.95, 38, 0 0 4
56.10, 11, 5 1 3
63.49, 18, 5 3 -1
76.27, 13, 5 1 -7
78.94, 12, 10 2 -4
79.04, 17, 5 3 -5

Crystal structure
```
data_Na2B3C
_symmetry_space_group_name_H-M 'C 1 2 1'
_symmetry_Int_Tables_number 5
_symmetry_space_group_name_Hall 'C 2y'
_cell_length_a 14.5655
_cell_length_b 5.0860
_cell_length_c 9.0940
_cell_angle_alpha 90.00
_cell_angle_beta 108.69
_cell_angle_gamma 90.00
loop_
_atom_site_label
_atom_site_type_symbol
_atom_site_fract_x
_atom_site_fract_y
_atom_site_fract_z
Na1 Na 0.0503 0.9996 0.2503
Na2 Na 0.0509 0.5019 0.7533
Na3 Na 0.1501 0.0000 0.7490
Na4 Na 0.1501 0.5006 0.2493
Na5 Na 0.2505 0.0006 0.2512
B1 B 0.0000 0.1571 0.5000
B2 B 0.0000 0.6645 0.0000
B3 B 0.0000 0.8241 0.5000
B4 B 0.0942 0.1657 0.9996
B5 B 0.0969 0.3623 0.4984
B6 B 0.1924 0.6985 0.9994
B7 B 0.1944 0.8263 0.4988
B8 B 0.1982 0.1615 0.4992
B9 B 0.2009 0.3189 0.9999
C1 C 0.0000 0.3281 0.0000
C2 C 0.0947 0.8286 0.9990
C3 C 0.0969 0.6672 0.4981
```

[4]
This entry pairs a crystal structure of Li5CuF8 with its calculated XRD peak list. Radiation: Cu Kα, 1.54184 Å. Structure: a DFT-relaxed cell (PBE, Alexandria).
No peak broadening, texture or thermal motion is included.

Top 10 peaks for 2θ from 10° to 90°, sorted by position:
2θ/deg, intensity, hkl
14.98, 40, 0 0 1
18.62, 100, 1 1 0
23.98, 51, 1 1 1
26.18, 26, 0 2 1
35.74, 21, 1 1 2
39.06, 13, 1 3 1
43.48, 34, 0 4 0
43.68, 67, 2 0 2
57.99, 12, 3 1 2
63.33, 34, 2 4 2

Crystal structure
```
data_Li5CuF8
_symmetry_space_group_name_H-M 'C m m m'
_symmetry_Int_Tables_number 65
_symmetry_space_group_name_Hall '-C 2 2'
_cell_length_a 5.8121
_cell_length_b 8.3253
_cell_length_c 5.9124
_cell_angle_alpha 90.00
_cell_angle_beta 90.00
_cell_angle_gamma 90.00
loop_
_atom_site_label
_atom_site_type_symbol
_atom_site_fract_x
_atom_site_fract_y
_atom_site_fract_z
Li1 Li 0.0000 0.0000 0.0000
Li2 Li 0.2500 0.2500 0.2298
Cu1 Cu 0.0000 0.0000 0.5000
F1 F 0.0000 0.2317 0.5000
F2 F 0.0000 0.2356 0.0000
F3 F 0.2254 0.0000 0.2630
```

[5]
This entry pairs a crystal structure of Na3PuTe3 with its calculated XRD peak list. Radiation: Cu Kα, 1.54184 Å. Structure: a DFT-relaxed cell (PBE, Alexandria).
No peak broadening, texture or thermal motion is included.

Top 10 peaks for 2θ from 10° to 90°, sorted by position:
2θ/deg, intensity, hkl
14.04, 100, 1 0 1
28.29, 82, 2 0 2
31.71, 58, 2 1 1
40.43, 63, 2 2 0
43.00, 32, 3 0 3
50.05, 17, 0 4 2
52.27, 15, 3 2 1
60.48, 17, 4 1 3
66.24, 29, 4 2 2
73.49, 16, 6 0 0

Crystal structure
```
data_Na3PuTe3
_symmetry_space_group_name_H-M 'R 3 m'
_symmetry_Int_Tables_number 160
_symmetry_space_group_name_Hall 'R 3 -2"'
_cell_length_a 8.9304
_cell_length_b 8.9304
_cell_length_c 10.9122
_cell_angle_alpha 90.00
_cell_angle_beta 90.00
_cell_angle_gamma 120.00
loop_
_atom_site_label
_atom_site_type_symbol
_atom_site_fract_x
_atom_site_fract_y
_atom_site_fract_z
Na1 Na 0.9996 0.4998 0.0000
Pu1 Pu 0.0000 0.0000 0.0005
Te1 Te 0.0001 0.5001 0.5003
```

[6]
This entry pairs a crystal structure of HoEr2Tm7 with its calculated XRD peak list. Radiation: Cu Kα, 1.54184 Å. Structure: a DFT-relaxed cell (PBE, Alexandria).
No peak broadening, texture or thermal motion is included.

Top 10 peaks for 2θ from 10° to 90°, sorted by position:
2θ/deg, intensity, hkl
31.40, 100, 2 0 1
31.46, 33, 1 0 -2
36.43, 67, 2 2 0
52.39, 16, 1 4 1
52.52, 32, 3 2 3
62.34, 9, 1 -2 4
62.45, 33, 3 4 2
62.53, 14, 4 2 1
85.98, 12, 5 2 4
88.77, 9, 5 4 3

Crystal structure
```
data_HoEr2Tm7
_symmetry_space_group_name_H-M 'P -1'
_symmetry_Int_Tables_number 2
_symmetry_space_group_name_Hall '-P 1'
_cell_length_a 6.0344
_cell_length_b 6.9844
_cell_length_c 7.7929
_cell_angle_alpha 77.15
_cell_angle_beta 74.97
_cell_angle_gamma 73.32
loop_
_atom_site_label
_atom_site_type_symbol
_atom_site_fract_x
_atom_site_fract_y
_atom_site_fract_z
Ho1 Ho 0.0000 0.0000 0.0000
Er1 Er 0.2001 0.2999 0.6001
Tm1 Tm 0.0000 0.5000 0.0000
Tm2 Tm 0.2001 0.7999 0.6000
Tm3 Tm 0.3999 0.1000 0.1999
Tm4 Tm 0.4002 0.5998 0.2001
```

[7]
This entry pairs a crystal structure of CsScO2 with its calculated XRD peak list. Radiation: Cu Kα, 1.54184 Å. Structure: a DFT-relaxed cell (PBE, Alexandria).
No peak broadening, texture or thermal motion is included.

Top 10 peaks for 2θ from 10° to 90°, sorted by position:
2θ/deg, intensity, hkl
17.36, 23, 0 1 1
24.98, 15, 1 2 0
28.03, 22, 2 0 0
28.19, 34, 0 0 2
28.74, 100, 1 2 1
31.45, 16, 2 0 1
33.28, 15, 1 1 2
34.31, 14, 0 3 1
50.23, 23, 1 2 3
51.32, 18, 0 4 2

Crystal structure
```
data_CsScO2
_symmetry_space_group_name_H-M 'P n a 21'
_symmetry_Int_Tables_number 33
_symmetry_space_group_name_Hall 'P 2c -2n'
_cell_length_a 6.3671
_cell_length_b 8.6051
_cell_length_c 6.3319
_cell_angle_alpha 90.00
_cell_angle_beta 90.00
_cell_angle_gamma 90.00
loop_
_atom_site_label
_atom_site_type_symbol
_atom_site_fract_x
_atom_site_fract_y
_atom_site_fract_z
Cs1 Cs 0.0621 0.1222 0.0000
Sc1 Sc 0.0440 0.6264 0.9899
O1 O 0.0112 0.5427 0.6983
O2 O 0.1598 0.1985 0.5261
```

[8]
This entry pairs a crystal structure of Ba6Pt2RhCl with its calculated XRD peak list. Radiation: Cu Kα, 1.54184 Å. Structure: a DFT-relaxed cell (PBE, Alexandria).
No peak broadening, texture or thermal motion is included.

Top 10 peaks for 2θ from 10° to 90°, sorted by position:
2θ/deg, intensity, hkl
15.16, 44, 0 1 2
20.39, 21, 1 0 4
25.50, 100, 2 -1 3
32.87, 94, 2 -1 6
39.60, 56, 3 0 0
42.66, 25, 1 1 9
47.69, 20, 2 2 3
52.38, 24, 2 2 6
64.14, 29, 0 3 12
67.61, 23, 5 -1 6

Crystal structure
```
data_Ba6Pt2RhCl
_symmetry_space_group_name_H-M 'R 3'
_symmetry_Int_Tables_number 146
_symmetry_space_group_name_Hall 'R 3'
_cell_length_a 7.8846
_cell_length_b 7.8846
_cell_length_c 22.6225
_cell_angle_alpha 90.00
_cell_angle_beta 90.00
_cell_angle_gamma 120.00
loop_
_atom_site_label
_atom_site_type_symbol
_atom_site_fract_x
_atom_site_fract_y
_atom_site_fract_z
Ba1 Ba 0.0069 0.3366 0.0000
Ba2 Ba 0.0110 0.6952 0.8397
Pt1 Pt 0.0000 0.0000 0.2490
Pt2 Pt 0.0000 0.0000 0.7477
Rh1 Rh 0.0000 0.0000 0.9257
Cl1 Cl 0.0000 0.0000 0.4308
```

[9]
This entry pairs a crystal structure of K2Na3InO4 with its calculated XRD peak list. Radiation: Cu Kα, 1.54184 Å. Structure: a DFT-relaxed cell (PBE, Alexandria).
No peak broadening, texture or thermal motion is included.

Top 10 peaks for 2θ from 10° to 90°, sorted by position:
2θ/deg, intensity, hkl
14.79, 50, 0 1 1
17.57, 73, 1 1 1
20.67, 45, 1 2 0
24.09, 32, 2 1 1
29.84, 34, 0 2 2
30.07, 36, 0 3 1
30.19, 100, 2 0 2
31.62, 69, 1 3 1
38.35, 36, 4 0 0
41.95, 42, 3 3 1

Crystal structure
```
data_K2Na3InO4
_symmetry_space_group_name_H-M 'P n n m'
_symmetry_Int_Tables_number 58
_symmetry_space_group_name_Hall '-P 2 2n'
_cell_length_a 9.3878
_cell_length_b 9.6647
_cell_length_c 7.6303
_cell_angle_alpha 90.00
_cell_angle_beta 90.00
_cell_angle_gamma 90.00
loop_
_atom_site_label
_atom_site_type_symbol
_atom_site_fract_x
_atom_site_fract_y
_atom_site_fract_z
K1 K 0.0000 0.0000 0.2438
K2 K 0.2303 0.2358 0.5000
Na1 Na 0.0175 0.6497 0.2469
Na2 Na 0.2360 0.5752 0.5000
In1 In 0.2290 0.3714 0.0000
O1 O 0.0601 0.2220 0.0000
O2 O 0.0683 0.7759 0.5000
O3 O 0.1999 0.4830 0.2326
```